(1)
Starting from a structure optimized by DFT (GGA-PBE), the powder XRD pattern of Na2Sr6S was simulated for λ = 1.5418 Å (Cu Kα).

```
Na2Sr6S
1.0
8.2231 0.0000 0.0000
0.0000 8.2479 0.0000
-8.1853 0.0000 12.1970
Na Sr S
4 12 2
Direct
0.2382 0.0206 0.2499 Na
0.2382 0.4794 0.7499 Na
0.7618 0.5206 0.2501 Na
0.7618 0.9794 0.7501 Na
0.1928 0.2031 0.9838 Sr
0.1928 0.2969 0.4838 Sr
0.2826 0.7096 0.9848 Sr
0.2826 0.7904 0.4848 Sr
0.2857 0.5013 0.2487 Sr
0.2857 0.9987 0.7487 Sr
0.7143 0.0013 0.2513 Sr
0.7143 0.4987 0.7513 Sr
0.7174 0.2096 0.5152 Sr
0.7174 0.2904 0.0152 Sr
0.8072 0.7031 0.5162 Sr
0.8072 0.7969 0.0162 Sr
0.0000 0.0000 0.5000 S
0.0000 0.5000 0.0000 S
```

Peak list (10 most intense, 2θ = 10–90°, sorted by position)
2θ/deg	d/Å	I_rel	h k l
14.52	6.099	11	0 0 2
15.21	5.823	14	1 1 -1
24.16	3.683	17	2 1 -2
26.11	3.413	100	0 2 2
28.31	3.153	22	2 1 0
29.29	3.049	28	0 0 4
30.71	2.912	36	2 2 -2
42.95	2.106	25	2 2 2
47.89	1.899	11	4 1 -2
50.01	1.824	12	0 2 6


(2)
Starting from a structure optimized by DFT (GGA-PBE), the powder XRD pattern of NaSrTl2S was simulated for λ = 1.5418 Å (Cu Kα).

```
NaSrTl2S
1.0
6.2065 0.0000 0.0000
0.0000 6.2065 0.0000
0.0000 0.0000 6.2511
Na Sr Tl S
1 1 2 1
Direct
0.0000 0.0000 0.0000 Na
0.0000 0.0000 0.5000 Sr
0.0000 0.5000 0.5000 Tl
0.5000 0.0000 0.5000 Tl
0.5000 0.5000 0.0000 S
```

Peak list (10 most intense, 2θ = 10–90°, sorted by position)
2θ/deg	d/Å	I_rel	h k l
14.17	6.251	100	0 0 1
20.22	4.393	40	1 1 0
24.79	3.592	83	1 1 1
28.56	3.126	32	0 0 2
28.77	3.103	63	2 0 0
32.21	2.779	60	2 0 1
40.98	2.202	49	2 0 2
43.72	2.070	26	2 2 1
48.62	1.873	27	3 1 1
50.84	1.796	26	2 2 2


(3)
Starting from a structure optimized by DFT (GGA-PBE), the powder XRD pattern of NaSrZnS2 was simulated for λ = 1.5418 Å (Cu Kα).

```
NaSrZnS2
1.0
7.1627 0.0000 0.0000
0.0000 4.7005 0.0000
-1.4344 0.0000 7.5502
Na Sr Zn S
2 2 2 4
Direct
0.0000 0.0129 0.2500 Na
0.0000 0.9871 0.7500 Na
0.5000 0.2925 0.7500 Sr
0.5000 0.7075 0.2500 Sr
0.0000 0.5000 0.0000 Zn
0.0000 0.5000 0.5000 Zn
0.2772 0.2088 0.0425 S
0.2772 0.7912 0.5425 S
0.7228 0.2088 0.4575 S
0.7228 0.7912 0.9575 S
```

Peak list (10 most intense, 2θ = 10–90°, sorted by position)
2θ/deg	d/Å	I_rel	h k l
22.28	3.990	31	0 1 1
24.59	3.620	75	1 0 -2
25.31	3.518	37	2 0 0
26.75	3.333	100	1 1 1
31.19	2.868	40	1 1 -2
34.71	2.585	39	1 1 2
35.65	2.519	31	2 1 1
40.47	2.229	49	1 2 0
40.61	2.221	52	1 1 -3
42.77	2.114	36	3 1 -1


(4)
Starting from a structure optimized by DFT (GGA-PBE), the powder XRD pattern of Na2Ta4S7 was simulated for λ = 1.5418 Å (Cu Kα).

```
Na2Ta4S7
1.0
6.0675 0.0000 0.0000
-2.8111 5.5458 0.0000
-0.3422 -0.3007 7.5436
Na Ta S
2 4 7
Direct
0.1052 0.3025 0.4779 Na
0.8948 0.6975 0.5221 Na
0.2403 0.3809 0.9953 Ta
0.4240 0.0238 0.1709 Ta
0.5760 0.9762 0.8291 Ta
0.7597 0.6191 0.0047 Ta
0.1008 0.6077 0.2086 S
0.1811 0.9761 0.8803 S
0.4806 0.5651 0.7424 S
0.5000 0.0000 0.5000 S
0.5194 0.4349 0.2576 S
0.8189 0.0239 0.1197 S
0.8992 0.3923 0.7914 S
```

Peak list (10 most intense, 2θ = 10–90°, sorted by position)
2θ/deg	d/Å	I_rel	h k l
11.73	7.544	100	0 0 1
16.41	5.403	14	1 0 0
27.80	3.209	18	1 1 0
28.07	3.179	9	0 1 -2
28.78	3.102	22	1 -2 0
28.92	3.087	12	-1 1 2
32.32	2.770	23	2 -1 1
38.73	2.325	9	0 1 -3
38.94	2.313	11	2 -1 2
39.92	2.258	21	2 0 -2


(5)
Starting from a structure optimized by DFT (GGA-PBE), the powder XRD pattern of Na8TaS6 was simulated for λ = 1.5418 Å (Cu Kα).

```
Na8TaS6
1.0
7.9253 0.0000 0.0000
0.0000 8.3003 0.0000
0.0000 0.0000 11.5160
Na Ta S
16 2 12
Direct
0.0000 0.1380 0.0000 Na
0.0000 0.2231 0.4478 Na
0.1926 0.6638 0.1108 Na
0.2016 0.5806 0.7984 Na
0.2297 0.9467 0.7643 Na
0.2703 0.0533 0.2643 Na
0.2984 0.4194 0.2984 Na
0.3074 0.3362 0.6108 Na
0.5000 0.7769 0.9478 Na
0.5000 0.8620 0.5000 Na
0.6926 0.3362 0.6108 Na
0.7016 0.4194 0.2984 Na
0.7297 0.0533 0.2643 Na
0.7703 0.9467 0.7643 Na
0.7984 0.5806 0.7984 Na
0.8074 0.6638 0.1108 Na
0.0000 0.7330 0.4653 Ta
0.5000 0.2670 0.9653 Ta
0.0000 0.2720 0.2213 S
0.0000 0.5011 0.5862 S
0.0000 0.7879 0.9333 S
0.0000 0.9616 0.5822 S
0.2383 0.7403 0.3464 S
0.2617 0.2597 0.8464 S
0.5000 0.0384 0.0822 S
0.5000 0.2121 0.4333 S
0.5000 0.4989 0.0862 S
0.5000 0.7280 0.7213 S
0.7383 0.2597 0.8464 S
0.7617 0.7403 0.3464 S
```

Peak list (10 most intense, 2θ = 10–90°, sorted by position)
2θ/deg	d/Å	I_rel	h k l
13.15	6.734	74	0 1 1
13.56	6.529	100	1 0 1
15.44	5.740	95	1 1 0
21.88	4.062	78	1 1 2
25.43	3.502	34	1 2 1
26.09	3.415	33	2 1 1
26.47	3.367	40	0 2 2
27.32	3.264	64	2 0 2
44.61	2.031	47	2 2 4
46.51	1.952	37	2 3 3


Question: What is the formula in the second record?
Answer: NaSrTl2S